No. 1
This entry pairs a crystal structure of KHgRu2O8 with its computed PXRD pattern. Radiation: Cu Ka. Structure: a crystal structure in Alexandria, relaxed with PBE.

Most intense lines, 5 to 70 degrees two-theta, by angle:
Position (°2θ)	I/Imax
13.97	65
17.83	20
24.18	100
27.06	41
28.91	77
29.80	36
30.23	34
40.68	26
43.09	25
49.59	23

Structure:
```
12
Lattice="5.4877 -2.9986 0.0000 5.4877 2.9986 0.0000 -2.5339 0.0000 6.3386" Properties=species:S:1:pos:R:3 pbc="T T T"
K 0.0000 0.0000 0.0000
Hg 4.2208 0.0000 3.1693
Ru 0.5926 0.0000 4.3955
Ru 7.8489 0.0000 1.9431
O 3.2655 1.5547 1.4885
O 0.6032 0.0000 2.6349
O 2.2709 0.0000 4.8998
O 5.1761 1.5547 4.8501
O 3.2655 -1.5547 1.4885
O 6.1706 0.0000 1.4388
O 7.8383 0.0000 3.7037
O 5.1761 -1.5547 4.8501
```

=====

No. 2
This entry pairs a crystal structure of K2HgSO4 with its computed PXRD pattern. Radiation: Cu Ka. Structure: a crystal structure in Alexandria, relaxed with PBE.

Most intense lines, 5 to 70 degrees two-theta, by angle:
Position (°2θ)	I/Imax
17.34	31
17.91	83
24.61	100
30.61	68
31.61	96
35.09	32
36.28	20
39.39	20
47.94	60
66.02	23

Structure:
```
16
Lattice="7.2335 0.0000 0.0000 0.0000 7.2335 0.0000 0.0000 0.0000 6.7956" Properties=species:S:1:pos:R:3 pbc="T T T"
K 0.0000 0.0000 0.0000
K 0.0000 3.6167 1.6989
K 3.6167 0.0000 5.0967
K 3.6167 3.6167 3.3978
Hg 0.0000 3.6167 5.0967
Hg 3.6167 0.0000 1.6989
S 0.0000 0.0000 3.3978
S 3.6167 3.6167 0.0000
O 0.4119 6.0899 2.5209
O 1.1435 0.4119 4.2748
O 2.4732 3.2048 0.8770
O 3.2048 4.7603 5.9187
O 4.0286 2.4732 5.9187
O 4.7603 4.0286 0.8770
O 6.0899 6.8216 4.2748
O 6.8216 1.1435 2.5209
```

=====

No. 3
This entry pairs a crystal structure of KHgSeO4 with its computed PXRD pattern. Radiation: Cu Ka. Structure: a crystal structure in Alexandria, relaxed with PBE.

Most intense lines, 5 to 70 degrees two-theta, by angle:
Position (°2θ)	I/Imax
17.64	100
20.19	19
28.70	36
29.16	87
33.89	32
34.67	14
41.04	17
45.61	18
51.13	33
51.97	19

Structure:
```
14
Lattice="6.2208 0.0000 0.0000 0.0000 6.2208 0.0000 0.0000 0.0000 8.5351" Properties=species:S:1:pos:R:3 pbc="T T T"
K 0.0000 0.0000 0.0000
K 3.1104 3.1104 4.2675
Hg 0.0000 0.0000 4.2675
Hg 3.1104 3.1104 0.0000
Se 0.0000 3.1104 6.4013
Se 3.1104 0.0000 2.1338
O 0.9184 2.0463 5.4577
O 1.0641 4.0288 7.3449
O 2.0463 5.3023 3.0774
O 2.1920 1.0641 1.1902
O 4.0288 5.1566 1.1902
O 4.1745 0.9184 3.0774
O 5.1566 2.1920 7.3449
O 5.3023 4.1745 5.4577
```

=====

No. 4
This entry pairs a crystal structure of K2TaHgO4 with its computed PXRD pattern. Radiation: Cu Ka. Structure: a crystal structure in Alexandria, relaxed with PBE.

Most intense lines, 5 to 70 degrees two-theta, by angle:
Position (°2θ)	I/Imax
17.83	85
27.02	58
30.42	100
32.56	34
38.58	28
47.42	14
49.90	52
51.35	12
56.05	20
62.99	16

Structure:
```
16
Lattice="6.6009 0.0000 0.0000 0.0000 6.6009 0.0000 0.0000 0.0000 7.5637" Properties=species:S:1:pos:R:3 pbc="T T T"
K 0.0000 0.0000 0.0000
K 0.0000 3.3004 1.8909
K 3.3004 0.0000 5.6728
K 3.3004 3.3004 3.7818
Ta 0.0000 0.0000 3.7818
Ta 3.3004 3.3004 0.0000
Hg 0.0000 3.3004 5.6728
Hg 3.3004 0.0000 1.8909
O 1.0613 1.1139 4.8608
O 1.1139 5.5396 2.7029
O 2.1866 4.3617 6.4848
O 2.2391 2.1866 1.0789
O 4.3617 4.4143 1.0789
O 4.4143 2.2391 6.4848
O 5.4870 1.0613 2.7029
O 5.5396 5.4870 4.8608
```